Record 1
Structure and computed PXRD pattern of Er2Lu2In5Os2 (DFT lattice parameters and positions (GGA-PBE); Cu Kα X-rays).
Intensities are scaled so that the largest is 100.

Main lines, most intense first (15° ≤ 2θ ≤ 90°):
- 34.16°, rel. 100.0
- 34.63°, rel. 71.7
- 38.72°, rel. 68.3
- 33.27°, rel. 62.3
- 38.02°, rel. 60.4
- 35.00°, rel. 40.0
- 37.70°, rel. 39.6
- 52.21°, rel. 37.1
- 35.21°, rel. 35.0
- 38.44°, rel. 32.6

Cell and atoms:
```
data_Er2Lu2In5Os2
_symmetry_space_group_name_H-M 'P 1 2/m 1'
_symmetry_Int_Tables_number 10
_cell_length_a 7.709
_cell_length_b 3.504
_cell_length_c 9.647
_cell_angle_alpha 90.00
_cell_angle_beta 93.84
_cell_angle_gamma 90.00
loop_
_symmetry_equiv_pos_as_xyz
'x,y,z'
'-x,-y,-z'
'-x,y,-z'
'x,-y,z'
loop_
_atom_site_label
_atom_site_type_symbol
_atom_site_fract_x
_atom_site_fract_y
_atom_site_fract_z
_atom_site_occupancy
Er1 Er 0.175 0.000 0.354 1
Lu1 Lu 0.212 0.000 0.945 1
In1 In 0.176 0.500 0.656 1
In2 In 0.449 0.500 0.171 1
In3 In 0.500 0.500 0.500 1
Os1 Os 0.072 0.500 0.141 1
```

Record 2
Structure and computed PXRD pattern of ErMg6In (DFT lattice parameters and positions (GGA-PBE); Cu Kα X-rays).
Intensities are scaled so that the largest is 100.

Main lines, most intense first (15° ≤ 2θ ≤ 90°):
- 35.87°, rel. 100.0
- 23.27°, rel. 86.5
- 26.91°, rel. 39.2
- 15.44°, rel. 37.9
- 45.41°, rel. 28.1
- 31.18°, rel. 25.1
- 55.49°, rel. 25.1
- 35.02°, rel. 23.7
- 47.57°, rel. 23.7
- 67.32°, rel. 20.2

Cell and atoms:
```
data_ErMg6In
_symmetry_space_group_name_H-M 'P -6 m 2'
_symmetry_Int_Tables_number 187
_symmetry_space_group_name_Hall 'P -6 2'
_cell_length_a 6.6253
_cell_length_b 6.6253
_cell_length_c 5.1239
_cell_angle_alpha 90.00
_cell_angle_beta 90.00
_cell_angle_gamma 120.00
loop_
_atom_site_label
_atom_site_type_symbol
_atom_site_fract_x
_atom_site_fract_y
_atom_site_fract_z
_atom_site_occupancy
Er1 Er 0.0000 0.0000 0.0000 1
Mg1 Mg 0.0095 0.5048 0.0000 1
Mg2 Mg 0.1686 0.3372 0.5000 1
In1 In 0.6667 0.3333 0.5000 1
```

Record 3
Structure and computed PXRD pattern of NdEr2Mg4In2 (DFT lattice parameters and positions (GGA-PBE); Cu Kα X-rays).
Intensities are scaled so that the largest is 100.

Main lines, most intense first (15° ≤ 2θ ≤ 90°):
- 33.40°, rel. 100.0
- 30.19°, rel. 89.0
- 30.48°, rel. 52.1
- 33.04°, rel. 47.6
- 38.32°, rel. 37.5
- 53.50°, rel. 23.9
- 40.80°, rel. 22.6
- 64.32°, rel. 22.5
- 53.98°, rel. 19.6
- 47.69°, rel. 19.6

Cell and atoms:
```
data_NdEr2Mg4In2
_symmetry_space_group_name_H-M 'A m m 2'
_symmetry_Int_Tables_number 38
_cell_length_a 4.698
_cell_length_b 13.279
_cell_length_c 7.510
_cell_angle_alpha 90.00
_cell_angle_beta 90.00
_cell_angle_gamma 90.00
loop_
_symmetry_equiv_pos_as_xyz
'x,y,z'
'-x,-y,z'
'-x,y,z'
'x,-y,z'
'x,y+1/2,z+1/2'
'-x,-y+1/2,z+1/2'
'-x,y+1/2,z+1/2'
'x,-y+1/2,z+1/2'
loop_
_atom_site_label
_atom_site_type_symbol
_atom_site_fract_x
_atom_site_fract_y
_atom_site_fract_z
_atom_site_occupancy
Nd1 Nd 0.000 0.000 0.000 1
Er1 Er 0.000 0.219 0.648 1
Mg1 Mg 0.000 0.000 0.442 1
Mg2 Mg 0.500 0.000 0.678 1
Mg3 Mg 0.500 0.121 0.312 1
In1 In 0.500 0.170 0.930 1
```